No. 1
Y4Cu2Hg5: computed powder X-ray diffraction pattern (Cu Kα X-rays), based on a DFT-relaxed cell (PBE, Alexandria).

Main lines, in order of rising 2θ (2θ from 5° to 70°):
d_spacing, two_theta, I/Imax
3.725, 23.89, 87
2.846, 31.44, 70
2.739, 32.69, 79
2.696, 33.23, 100
2.644, 33.90, 63
2.444, 36.78, 80

Lattice parameters (Å, degrees): 7.5124 3.7249 9.3747 90.00 92.15 90.00
Element x y z (fractional)
Y 0.1846 0.0000 0.3534
Y 0.2351 0.0000 0.9274
Y 0.7649 0.0000 0.0726
Y 0.8154 0.0000 0.6466
Cu 0.0628 0.5000 0.1250
Cu 0.9372 0.5000 0.8750
Hg 0.1588 0.5000 0.6428
Hg 0.4360 0.5000 0.1664
Hg 0.5000 0.5000 0.5000
Hg 0.5640 0.5000 0.8336
Hg 0.8412 0.5000 0.3572

No. 2
Y2Cu3Hg: computed powder X-ray diffraction pattern (Cu Kα X-rays), based on a DFT-relaxed cell (PBE, Alexandria).

Main lines, in order of rising 2θ (2θ from 5° to 70°):
d_spacing, two_theta, I/Imax
3.752, 23.71, 31
2.615, 34.30, 100
2.598, 34.52, 51
2.240, 40.27, 38
2.209, 40.85, 72
1.384, 67.68, 31

Lattice parameters (Å, degrees): 8.8378 8.4064 5.7171 74.77 66.61 38.62
Element x y z (fractional)
Y 0.2430 0.7570 0.7570
Y 0.2500 0.2500 0.2500
Y 0.7500 0.7500 0.7500
Y 0.7570 0.2430 0.2430
Cu 0.1600 0.1600 0.8400
Cu 0.1597 0.6784 0.3216
Cu 0.3216 0.8403 0.1597
Cu 0.6784 0.1597 0.8403
Cu 0.8403 0.3216 0.6784
Cu 0.8400 0.8400 0.1600
Hg 0.3339 0.3339 0.6661
Hg 0.6661 0.6661 0.3339

No. 3
ZnCuHg2: computed powder X-ray diffraction pattern (Cu Kα X-rays), based on a DFT-relaxed cell (PBE, Alexandria).

Main lines, in order of rising 2θ (2θ from 5° to 70°):
d_spacing, two_theta, I/Imax
4.107, 21.64, 23
2.805, 31.91, 28
2.609, 34.37, 100
2.104, 42.99, 53
2.053, 44.10, 16
1.663, 55.24, 26

Lattice parameters (Å, degrees): 8.4354 8.4354 8.4354 22.74 22.74 22.74
Element x y z (fractional)
Zn 0.0000 0.0000 0.0000
Cu 0.5000 0.5000 0.5000
Hg 0.2467 0.2467 0.2467
Hg 0.7533 0.7533 0.7533

No. 4
Zn2CuHg: computed powder X-ray diffraction pattern (Cu Kα X-rays), based on a DFT-relaxed cell (PBE, Alexandria).

Main lines, in order of rising 2θ (2θ from 5° to 70°):
d_spacing, two_theta, I/Imax
3.549, 25.09, 70
3.227, 27.65, 40
2.479, 36.24, 72
2.168, 41.66, 83
2.125, 42.54, 100
1.518, 61.06, 26

Lattice parameters (Å, degrees): 5.1002 5.1002 5.1002 49.25 49.25 49.25
Element x y z (fractional)
Zn 0.0000 0.0000 0.0000
Zn 0.2273 0.2273 0.2273
Cu 0.5873 0.5873 0.5873
Hg 0.7846 0.7846 0.7846

No. 5
Zr4Cu2Hg5: computed powder X-ray diffraction pattern (Cu Kα X-rays), based on a DFT-relaxed cell (PBE, Alexandria).

Main lines, in order of rising 2θ (2θ from 5° to 70°):
d_spacing, two_theta, I/Imax
2.861, 31.27, 54
2.486, 36.14, 57
2.479, 36.24, 57
2.434, 36.93, 61
2.359, 38.15, 56
2.308, 39.02, 100

Lattice parameters (Å, degrees): 7.5887 3.1064 9.5259 90.00 93.57 90.00
Element x y z (fractional)
Zr 0.1626 0.0000 0.3667
Zr 0.2420 0.0000 0.9424
Zr 0.7580 0.0000 0.0576
Zr 0.8374 0.0000 0.6333
Cu 0.0607 0.5000 0.1290
Cu 0.9393 0.5000 0.8710
Hg 0.1783 0.5000 0.6578
Hg 0.4390 0.5000 0.1829
Hg 0.5000 0.5000 0.5000
Hg 0.5610 0.5000 0.8171
Hg 0.8217 0.5000 0.3422

No. 6
Zr6CuHg2: computed powder X-ray diffraction pattern (Cu Kα X-rays), based on a DFT-relaxed cell (PBE, Alexandria).

Main lines, in order of rising 2θ (2θ from 5° to 70°):
d_spacing, two_theta, I/Imax
3.825, 23.25, 77
2.348, 38.34, 100
2.335, 38.56, 25
2.328, 38.67, 24
1.992, 45.54, 20
1.359, 69.13, 17

Lattice parameters (Å, degrees): 8.0830 8.0830 4.6693 106.64 106.64 48.88
Element x y z (fractional)
Zr 0.0836 0.6010 0.3419
Zr 0.2349 0.7651 0.0000
Zr 0.3990 0.9164 0.6581
Zr 0.6010 0.0836 0.3419
Zr 0.7651 0.2349 0.0000
Zr 0.9164 0.3990 0.6581
Cu 0.0000 0.0000 0.5000
Hg 0.3318 0.3318 0.8314
Hg 0.6682 0.6682 0.1686

No. 7
Ho5Cu6: computed powder X-ray diffraction pattern (Cu Kα X-rays), based on a DFT-relaxed cell (PBE, Alexandria).

Main lines, in order of rising 2θ (2θ from 5° to 70°):
d_spacing, two_theta, I/Imax
6.306, 14.04, 21
2.644, 33.91, 32
2.455, 36.61, 100
2.411, 37.29, 90
2.388, 37.66, 52
2.377, 37.84, 36

Lattice parameters (Å, degrees): 8.2359 8.2359 4.7794 105.10 105.10 50.53
Element x y z (fractional)
Ho 0.0000 0.0000 0.0000
Ho 0.1764 0.1764 0.6743
Ho 0.3597 0.3597 0.3427
Ho 0.6403 0.6403 0.6573
Ho 0.8236 0.8236 0.3257
Cu 0.0379 0.5993 0.8192
Cu 0.2033 0.7967 0.5000
Cu 0.4007 0.9621 0.1808
Cu 0.5993 0.0379 0.8192
Cu 0.7967 0.2033 0.5000
Cu 0.9621 0.4007 0.1808

No. 8
HoCu8: computed powder X-ray diffraction pattern (Cu Kα X-rays), based on a DFT-relaxed cell (PBE, Alexandria).

Main lines, in order of rising 2θ (2θ from 5° to 70°):
d_spacing, two_theta, I/Imax
2.209, 40.86, 51
2.196, 41.11, 100
2.185, 41.33, 49
1.986, 45.68, 38
1.864, 48.87, 58
1.365, 68.78, 19

Lattice parameters (Å, degrees): 5.9176 5.9176 3.9729 109.13 109.13 83.81
Element x y z (fractional)
Ho 0.0000 0.0000 0.0000
Cu 0.9995 0.3587 0.6797
Cu 0.0005 0.6413 0.3203
Cu 0.3451 0.3451 0.3484
Cu 0.3450 0.6550 0.0000
Cu 0.3587 0.9995 0.6797
Cu 0.6413 0.0005 0.3203
Cu 0.6550 0.3450 0.0000
Cu 0.6549 0.6549 0.6516

No. 9
HoCu11: computed powder X-ray diffraction pattern (Cu Kα X-rays), based on a DFT-relaxed cell (PBE, Alexandria).

Main lines, in order of rising 2θ (2θ from 5° to 70°):
d_spacing, two_theta, I/Imax
2.548, 35.22, 39
2.270, 39.71, 100
2.231, 40.43, 67
2.129, 42.46, 31
1.908, 47.65, 39
1.843, 49.46, 27

Lattice parameters (Å, degrees): 7.7752 7.7752 7.7752 100.18 100.18 130.28
Element x y z (fractional)
Ho 0.3750 0.6250 0.7500
Ho 0.6250 0.3750 0.2500
Cu 0.0000 0.0000 0.0000
Cu 0.0000 0.0000 0.5000
Cu 0.0000 0.5000 0.0000
Cu 0.1250 0.8750 0.2500
Cu 0.1363 0.5579 0.3338
Cu 0.1363 0.8025 0.5784
Cu 0.1975 0.2759 0.3338
Cu 0.1975 0.8637 0.9216
Cu 0.2759 0.1975 0.8338
Cu 0.2759 0.4421 0.0784
Cu 0.4421 0.2759 0.5784
Cu 0.4421 0.8637 0.1662
Cu 0.5000 0.0000 0.5000
Cu 0.5579 0.1363 0.8338
Cu 0.5579 0.7241 0.4216
Cu 0.7241 0.5579 0.9216
Cu 0.7241 0.8025 0.1662
Cu 0.8025 0.1363 0.0784
Cu 0.8025 0.7241 0.6662
Cu 0.8637 0.1975 0.4216
Cu 0.8637 0.4421 0.6662
Cu 0.8750 0.1250 0.7500

No. 10
Ho7Cu3: computed powder X-ray diffraction pattern (Cu Kα X-rays), based on a DFT-relaxed cell (PBE, Alexandria).

Main lines, in order of rising 2θ (2θ from 5° to 70°):
d_spacing, two_theta, I/Imax
2.891, 30.93, 40
2.840, 31.50, 100
2.566, 34.96, 43
2.489, 36.09, 40
2.445, 36.75, 33
1.643, 55.97, 26

Lattice parameters (Å, degrees): 9.7812 9.7812 6.1520 90.00 90.00 120.00
Element x y z (fractional)
Ho 0.0767 0.5384 0.0000
Ho 0.1278 0.2556 0.6981
Ho 0.1278 0.8722 0.6981
Ho 0.2556 0.1278 0.1981
Ho 0.3333 0.6667 0.5087
Ho 0.4616 0.5384 0.0000
Ho 0.4616 0.9233 0.0000
Ho 0.5384 0.0767 0.5000
Ho 0.5384 0.4616 0.5000
Ho 0.6667 0.3333 0.0087
Ho 0.7444 0.8722 0.6981
Ho 0.8722 0.1278 0.1981
Ho 0.8722 0.7444 0.1981
Ho 0.9233 0.4616 0.5000
Cu 0.1901 0.3801 0.2654
Cu 0.1901 0.8099 0.2654
Cu 0.3801 0.1901 0.7654
Cu 0.6199 0.8099 0.2654
Cu 0.8099 0.1901 0.7654
Cu 0.8099 0.6199 0.7654

No. 11
Ho3CuI3: computed powder X-ray diffraction pattern (Cu Kα X-rays), based on a DFT-relaxed cell (PBE, Alexandria).

Main lines, in order of rising 2θ (2θ from 5° to 70°):
d_spacing, two_theta, I/Imax
3.223, 27.68, 33
3.015, 29.63, 100
2.571, 34.90, 21
2.132, 42.40, 67
1.740, 52.58, 21
1.348, 69.76, 21

Lattice parameters (Å, degrees): 10.4427 10.4427 10.4427 109.47 109.47 109.47
Element x y z (fractional)
Ho 0.0222 0.0445 0.2722
Ho 0.0222 0.4778 0.7500
Ho 0.0445 0.2722 0.0222
Ho 0.2278 0.2722 0.7500
Ho 0.2278 0.4555 0.4778
Ho 0.2722 0.0222 0.0445
Ho 0.2722 0.7500 0.2278
Ho 0.4555 0.4778 0.2278
Ho 0.4778 0.2278 0.4555
Ho 0.4778 0.7500 0.0222
Ho 0.7500 0.0222 0.4778
Ho 0.7500 0.2278 0.2722
Cu 0.0000 0.2500 0.5000
Cu 0.2500 0.2500 0.2500
Cu 0.2500 0.5000 0.0000
Cu 0.5000 0.0000 0.2500
I 0.2500 0.7585 0.7415
I 0.2500 0.9915 0.5085
I 0.5085 0.2500 0.9915
I 0.5085 0.7585 0.5169
I 0.5169 0.5085 0.7585
I 0.7415 0.2500 0.7585
I 0.7415 0.9915 0.9831
I 0.7585 0.5169 0.5085
I 0.7585 0.7415 0.2500
I 0.9831 0.7415 0.9915
I 0.9915 0.5085 0.2500
I 0.9915 0.9831 0.7415

No. 12
KHoCuI6: computed powder X-ray diffraction pattern (Cu Kα X-rays), based on a DFT-relaxed cell (PBE, Alexandria).

Main lines, in order of rising 2θ (2θ from 5° to 70°):
d_spacing, two_theta, I/Imax
7.820, 11.32, 79
3.868, 22.99, 86
3.409, 26.14, 54
3.246, 27.48, 100
2.596, 34.55, 67
2.278, 39.56, 52

Lattice parameters (Å, degrees): 7.4234 7.4257 7.8990 94.46 94.61 112.06
Element x y z (fractional)
K 0.0000 0.0000 0.0000
Ho 0.3438 0.6569 0.5002
Cu 0.6963 0.3057 0.4997
I 0.0311 0.6092 0.2288
I 0.0348 0.3437 0.6717
I 0.3908 0.9681 0.7719
I 0.4361 0.3530 0.2742
I 0.6483 0.5640 0.7256
I 0.6560 0.9664 0.3283